Entry 1:
For LiCrN2, a cell relaxed with GGA-PBE gives the simulated PXRD pattern in this record (λ = 1.5418 Å (Cu Kα)).
Lines closer than 0.1° are merged.

Largest 10 diffraction maxima, in order of falling intensity, 10 to 90 degrees two-theta:
2θ 22.0, I = 100
2θ 34.8, I = 75
2θ 59.3, I = 20
2θ 68.0, I = 16
2θ 45.2, I = 15
2θ 55.2, I = 13
2θ 37.4, I = 13
2θ 56.4, I = 11
2θ 73.3, I = 10
2θ 39.0, I = 9

```
LiCrN2
1.0
-2.3071 2.3071 4.2216
2.3071 -2.3071 4.2216
2.3071 2.3071 -4.2216
Li Cr N
2 2 4
Direct
0.0000 0.0000 0.0000
0.7500 0.2500 0.5000
0.2500 0.7500 0.5000
0.5000 0.5000 0.0000
0.1875 0.6250 0.0625
0.3750 0.4375 0.5625
0.5625 0.1250 0.9375
0.8750 0.8125 0.4375
```



Entry 2:
For Li3CrN2, a cell relaxed with GGA-PBE gives the simulated PXRD pattern in this record (λ = 1.5418 Å (Cu Kα)).
Lines closer than 0.1° are merged.

Largest 10 diffraction maxima, in order of falling intensity, 10 to 90 degrees two-theta:
2θ 22.9, I = 100
2θ 35.2, I = 49
2θ 54.5, I = 39
2θ 59.8, I = 16
2θ 37.7, I = 16
2θ 44.6, I = 15
2θ 32.5, I = 13
2θ 72.9, I = 10
2θ 66.5, I = 10
2θ 52.6, I = 8

```
Li3CrN2
1.0
-4.7661 4.7661 4.7661
4.7661 -4.7661 4.7661
4.7661 4.7661 -4.7661
Li Cr N
24 8 16
Direct
0.0171 0.9752 0.2387
0.0248 0.7613 0.9829
0.0419 0.5171 0.2784
0.2216 0.7387 0.7635
0.2365 0.7784 0.2613
0.2387 0.0171 0.9752
0.2613 0.2365 0.7784
0.2635 0.5248 0.5419
0.2784 0.0419 0.5171
0.4581 0.7365 0.4752
0.4752 0.4581 0.7365
0.4829 0.7216 0.9581
0.5171 0.2784 0.0419
0.5248 0.5419 0.2635
0.5419 0.2635 0.5248
0.7216 0.9581 0.4829
0.7365 0.4752 0.4581
0.7387 0.7635 0.2216
0.7613 0.9829 0.0248
0.7635 0.2216 0.7387
0.7784 0.2613 0.2365
0.9581 0.4829 0.7216
0.9752 0.2387 0.0171
0.9829 0.0248 0.7613
0.0000 0.2275 0.5000
0.0000 0.7725 0.5000
0.2275 0.5000 0.0000
0.2725 0.2725 0.2725
0.5000 0.0000 0.2275
0.5000 0.0000 0.7725
0.7275 0.7275 0.7275
0.7725 0.5000 0.0000
0.0000 0.0000 0.5000
0.0000 0.5000 0.0000
0.0341 0.2500 0.2841
0.2159 0.4659 0.7500
0.2500 0.2841 0.0341
0.2500 0.7841 0.5341
0.2841 0.0341 0.2500
0.4659 0.7500 0.2159
0.5000 0.0000 0.0000
0.5000 0.5000 0.5000
0.5341 0.2500 0.7841
0.7159 0.9659 0.7500
0.7500 0.2159 0.4659
0.7500 0.7159 0.9659
0.7841 0.5341 0.2500
0.9659 0.7500 0.7159
```



Entry 3:
For Li3CrN2, a cell relaxed with GGA-PBE gives the simulated PXRD pattern in this record (λ = 1.5418 Å (Cu Kα)).
Lines closer than 0.1° are merged.

Largest 10 diffraction maxima, in order of falling intensity, 10 to 90 degrees two-theta:
2θ 14.9, I = 100
2θ 29.3, I = 91
2θ 25.1, I = 86
2θ 27.5, I = 83
2θ 41.7, I = 73
2θ 68.4, I = 33
2θ 49.3, I = 30
2θ 51.6, I = 29
2θ 35.8, I = 26
2θ 45.7, I = 18

```
Li3CrN2
1.0
-3.5432 3.5432 5.4835
3.5432 -3.5432 5.4835
3.5432 3.5432 -5.4835
Li Cr N
12 4 8
Direct
0.1089 0.3589 0.2177
0.1089 0.8911 0.7500
0.2519 0.5019 0.7500
0.3589 0.1089 0.7177
0.3589 0.6411 0.2500
0.4981 0.7481 0.7500
0.5019 0.2519 0.2500
0.6411 0.3589 0.7500
0.6411 0.8911 0.2823
0.7481 0.4981 0.2500
0.8911 0.1089 0.2500
0.8911 0.6411 0.7823
0.0032 0.2532 0.7500
0.2532 0.0032 0.2500
0.7468 0.9968 0.7500
0.9968 0.7468 0.2500
0.1259 0.6708 0.4551
0.2843 0.3292 0.9551
0.3292 0.2843 0.4551
0.3292 0.8741 0.0449
0.6708 0.1259 0.9551
0.6708 0.7157 0.5449
0.7157 0.6708 0.0449
0.8741 0.3292 0.5449
```